Record 1
Computed X-ray powder pattern
Compound: Rb2Pu2CrSe6
Radiation: CuKα
Structure: a crystal structure in Alexandria, relaxed with GGA-PBE
Kinematic intensities with the Lorentz-polarization factor, no thermal factor.

The 12 most intense peaks (15° ≤ 2θ ≤ 90°), by intensity:
- 2θ 29.51, intensity 100
- 2θ 29.09, intensity 48
- 2θ 39.03, intensity 33
- 2θ 44.64, intensity 33
- 2θ 36.44, intensity 24
- 2θ 54.59, intensity 17
- 2θ 16.20, intensity 16
- 2θ 39.15, intensity 16
- 2θ 45.12, intensity 16
- 2θ 48.37, intensity 14
- 2θ 35.97, intensity 13
- 2θ 20.66, intensity 13

Crystal structure
```
data_Rb2Pu2CrSe6
_cell_length_a 7.056
_cell_length_b 12.057
_cell_length_c 8.519
_cell_angle_alpha 90.00
_cell_angle_beta 106.59
_cell_angle_gamma 90.00
_space_group_name_H-M_alt 'C 1 2/m 1'
_space_group_IT_number 12
loop_
_space_group_symop_operation_xyz
'x,y,z'
'-x,-y,-z'
'-x,y,-z'
'x,-y,z'
'x+1/2,y+1/2,z'
'-x+1/2,-y+1/2,-z'
'-x+1/2,y+1/2,-z'
'x+1/2,-y+1/2,z'
loop_
_atom_site_label
_atom_site_fract_x
_atom_site_fract_y
_atom_site_fract_z
Rb1 0.000 0.172 0.000
Pu1 0.000 0.333 0.500
Cr1 0.000 0.000 0.500
Se1 0.220 0.154 0.685
Se2 0.244 0.000 0.317
```

---

Record 2
Computed X-ray powder pattern
Compound: Sr3Hg2As
Radiation: CuKα
Structure: a crystal structure in Alexandria, relaxed with GGA-PBE
Kinematic intensities with the Lorentz-polarization factor, no thermal factor.

The 12 most intense peaks (15° ≤ 2θ ≤ 90°), by intensity:
- 2θ 32.16, intensity 100
- 2θ 57.52, intensity 29
- 2θ 31.86, intensity 25
- 2θ 32.30, intensity 25
- 2θ 76.74, intensity 10
- 2θ 22.53, intensity 10
- 2θ 56.92, intensity 10
- 2θ 57.00, intensity 9
- 2θ 57.26, intensity 9
- 2θ 45.94, intensity 9
- 2θ 46.07, intensity 9
- 2θ 46.25, intensity 9

Crystal structure
```
data_Sr3Hg2As
_cell_length_a 5.543
_cell_length_b 7.851
_cell_length_c 8.864
_cell_angle_alpha 90.00
_cell_angle_beta 108.07
_cell_angle_gamma 90.00
_space_group_name_H-M_alt 'P 1 2/m 1'
_space_group_IT_number 10
loop_
_space_group_symop_operation_xyz
'x,y,z'
'-x,-y,-z'
'-x,y,-z'
'x,-y,z'
loop_
_atom_site_label
_atom_site_fract_x
_atom_site_fract_y
_atom_site_fract_z
Sr1 0.000 0.248 0.000
Sr2 0.329 0.236 0.658
Hg1 0.166 0.500 0.332
Hg2 0.500 0.000 0.000
Hg3 0.500 0.500 0.000
As1 0.156 0.000 0.312
```

---

Record 3
Computed X-ray powder pattern
Compound: LaY2Tm5
Radiation: CuKα
Structure: a crystal structure in Alexandria, relaxed with GGA-PBE
Kinematic intensities with the Lorentz-polarization factor, no thermal factor.

The 12 most intense peaks (15° ≤ 2θ ≤ 90°), by intensity:
- 2θ 30.96, intensity 100
- 2θ 35.81, intensity 34
- 2θ 61.36, intensity 28
- 2θ 51.74, intensity 24
- 2θ 36.08, intensity 17
- 2θ 61.71, intensity 14
- 2θ 64.53, intensity 12
- 2θ 51.55, intensity 12
- 2θ 84.50, intensity 12
- 2θ 84.19, intensity 6
- 2θ 86.87, intensity 6
- 2θ 87.02, intensity 6

Crystal structure
```
data_LaY2Tm5
_cell_length_a 7.092
_cell_length_b 7.092
_cell_length_c 9.959
_cell_angle_alpha 90.00
_cell_angle_beta 90.00
_cell_angle_gamma 90.00
_space_group_name_H-M_alt 'I 4 m m'
_space_group_IT_number 107
_space_group_name_Hall 'I 4 -2'
loop_
_atom_site_label
_atom_site_fract_x
_atom_site_fract_y
_atom_site_fract_z
La1 0.000 0.000 0.000
Y1 0.000 0.500 0.499
Tm1 0.000 0.000 0.499
Tm2 0.250 0.250 0.249
```